# TeSBr
Theoretical PXRD pattern, Cu Kα, 1.54184 Å. Input: a cell relaxed with GGA-PBE.
Peak positions follow from Bragg's law for the DFT cell and can differ from measured ones.

Structural model:
a = 9.553 Å, b = 9.553 Å, c = 6.048 Å
α = 90.00°, β = 90.00°, γ = 120.00°
Atoms (fractional coordinates):
Te  0.171  0.430  0.000
Te  0.260  0.829  0.333
Te  0.570  0.740  0.667
S  0.128  0.647  0.959
S  0.353  0.481  0.626
S  0.519  0.872  0.292
Br  0.301  0.113  0.443
Br  0.812  0.699  0.776
Br  0.887  0.188  0.109

Principal peaks in the range 10° ≤ 2θ ≤ 90°, by angle:
hkl 1 0 0, 10.69 deg, intensity 51.5
hkl 0 1 1, 18.17 deg, intensity 100.0
hkl 2 -1 1, 23.74 deg, intensity 39.7
hkl 1 2 0, 28.55 deg, intensity 23.0
hkl 1 0 2, 31.50 deg, intensity 27.7
hkl 3 -2 2, 41.54 deg, intensity 19.7
hkl 3 1 1, 42.12 deg, intensity 22.9
hkl 0 4 1, 46.38 deg, intensity 20.0